Calculated XRD peak list
Compound: PaHgPt
Radiation: Cu Kα (λ = 1.5418 Å)
Structure: the GGA-PBE geometry in Alexandria
Lines closer than 0.1° are merged.

Main lines, in order of rising 2θ (10° ≤ 2θ ≤ 80°):
- 30.57 deg, d 2.924, intensity 6
- 35.07 deg, d 2.559, intensity 100
- 36.82 deg, d 2.441, intensity 77
- 47.20 deg, d 1.926, intensity 11
- 51.76 deg, d 1.766, intensity 30
- 62.91 deg, d 1.477, intensity 19
- 63.64 deg, d 1.462, intensity 6
- 64.06 deg, d 1.454, intensity 32
- 74.11 deg, d 1.279, intensity 12
- 74.78 deg, d 1.270, intensity 23

Structural model:
```
PaHgPt
1.0
5.117 0.000 0.000
-2.559 4.432 0.000
0.000 0.000 5.849
Pa Hg Pt
2 2 2
direct
0.333 0.667 0.250
0.667 0.333 0.750
0.000 0.000 0.000
0.000 0.000 0.500
0.333 0.667 0.750
0.667 0.333 0.250
```

=====

Calculated XRD peak list
Compound: Ba3Na2Sr8
Radiation: Cu Kα (λ = 1.5418 Å)
Structure: the GGA-PBE geometry in Alexandria
Lines closer than 0.1° are merged.

Main lines, in order of rising 2θ (10° ≤ 2θ ≤ 80°):
- 24.35 deg, d 3.655, intensity 74
- 26.01 deg, d 3.426, intensity 100
- 26.13 deg, d 3.410, intensity 37
- 26.73 deg, d 3.336, intensity 36
- 27.62 deg, d 3.230, intensity 44
- 30.55 deg, d 2.926, intensity 18
- 33.28 deg, d 2.692, intensity 18
- 38.39 deg, d 2.345, intensity 27
- 46.96 deg, d 1.935, intensity 29
- 47.87 deg, d 1.900, intensity 19

Structural model:
```
Ba3Na2Sr8
1.0
9.095 0.000 0.000
0.000 6.460 0.000
-2.774 0.000 12.156
Ba Na Sr
3 2 8
direct
0.000 0.000 0.000
0.267 0.500 0.921
0.733 0.500 0.079
0.336 0.000 0.434
0.664 0.000 0.566
0.070 0.000 0.673
0.200 0.500 0.247
0.318 0.500 0.593
0.473 0.000 0.169
0.527 0.000 0.831
0.682 0.500 0.407
0.800 0.500 0.753
0.930 0.000 0.327
```

=====

Calculated XRD peak list
Compound: CaTlPbCl6
Radiation: Cu Kα (λ = 1.5418 Å)
Structure: the GGA-PBE geometry in Alexandria
Lines closer than 0.1° are merged.

Main lines, in order of rising 2θ (10° ≤ 2θ ≤ 80°):
- 15.69 deg, d 5.650, intensity 28
- 19.33 deg, d 4.591, intensity 100
- 24.85 deg, d 3.583, intensity 29
- 28.13 deg, d 3.172, intensity 13
- 31.68 deg, d 2.825, intensity 28
- 36.36 deg, d 2.471, intensity 58
- 40.67 deg, d 2.218, intensity 31
- 43.76 deg, d 2.069, intensity 23
- 55.02 deg, d 1.669, intensity 14
- 58.16 deg, d 1.586, intensity 14

Structural model:
```
CaTlPbCl6
1.0
7.166 0.000 0.000
-3.583 6.206 0.000
0.000 0.000 13.648
Ca Tl Pb Cl
2 2 2 12
direct
0.333 0.667 0.250
0.667 0.333 0.750
0.000 0.000 0.000
0.000 0.000 0.500
0.333 0.667 0.750
0.667 0.333 0.250
0.001 0.364 0.636
0.001 0.637 0.864
0.363 0.364 0.864
0.363 0.999 0.636
0.364 0.001 0.136
0.364 0.363 0.364
0.636 0.637 0.636
0.636 0.999 0.864
0.637 0.001 0.364
0.637 0.636 0.136
0.999 0.363 0.136
0.999 0.636 0.364
```

=====

Calculated XRD peak list
Compound: CuBClO4
Radiation: Cu Kα (λ = 1.5418 Å)
Structure: the GGA-PBE geometry in Alexandria
Lines closer than 0.1° are merged.

Main lines, in order of rising 2θ (10° ≤ 2θ ≤ 80°):
- 15.79 deg, d 5.613, intensity 63
- 22.41 deg, d 3.967, intensity 100
- 31.90 deg, d 2.805, intensity 70
- 35.77 deg, d 2.510, intensity 82
- 39.33 deg, d 2.291, intensity 27
- 45.75 deg, d 1.983, intensity 21
- 48.68 deg, d 1.870, intensity 43
- 51.52 deg, d 1.774, intensity 45
- 69.01 deg, d 1.361, intensity 29
- 78.05 deg, d 1.224, intensity 21

Structural model:
```
CuBClO4
1.0
5.609 0.000 0.000
0.000 5.609 0.000
0.000 0.000 5.613
Cu B Cl O
2 2 2 8
direct
0.250 0.250 0.162
0.750 0.750 0.838
0.250 0.750 0.000
0.750 0.250 0.000
0.250 0.250 0.674
0.750 0.750 0.326
0.069 0.842 0.836
0.158 0.569 0.164
0.342 0.931 0.164
0.431 0.658 0.836
0.569 0.342 0.164
0.658 0.069 0.836
0.842 0.431 0.836
0.931 0.158 0.164
```

=====

Calculated XRD peak list
Compound: Tb2Nd4Er2Tm
Radiation: Cu Kα (λ = 1.5418 Å)
Structure: the GGA-PBE geometry in Alexandria
Lines closer than 0.1° are merged.

Main lines, in order of rising 2θ (10° ≤ 2θ ≤ 80°):
- 30.45 deg, d 2.935, intensity 100
- 35.26 deg, d 2.545, intensity 34
- 35.40 deg, d 2.535, intensity 17
- 50.77 deg, d 1.798, intensity 24
- 50.85 deg, d 1.796, intensity 12
- 60.33 deg, d 1.534, intensity 29
- 60.51 deg, d 1.530, intensity 14
- 63.38 deg, d 1.468, intensity 12
- 74.52 deg, d 1.273, intensity 2
- 74.63 deg, d 1.272, intensity 2

Structural model:
```
Tb2Nd4Er2Tm
1.0
7.640 -2.544 0.000
7.640 2.544 0.000
-2.549 0.000 7.606
Tb Nd Er Tm
2 4 2 1
direct
0.112 0.112 0.171
0.888 0.888 0.829
0.222 0.222 0.831
0.446 0.446 0.169
0.554 0.554 0.831
0.778 0.778 0.169
0.333 0.333 0.500
0.667 0.667 0.500
0.000 0.000 0.500
```

=====

Calculated XRD peak list
Compound: CsKHfSe3
Radiation: Cu Kα (λ = 1.5418 Å)
Structure: the GGA-PBE geometry in Alexandria
Lines closer than 0.1° are merged.

Main lines, in order of rising 2θ (10° ≤ 2θ ≤ 80°):
- 11.36 deg, d 7.786, intensity 21
- 12.76 deg, d 6.940, intensity 100
- 22.86 deg, d 3.890, intensity 51
- 22.94 deg, d 3.876, intensity 30
- 25.10 deg, d 3.548, intensity 22
- 25.34 deg, d 3.515, intensity 76
- 30.55 deg, d 2.927, intensity 60
- 37.66 deg, d 2.389, intensity 34
- 38.70 deg, d 2.327, intensity 25
- 44.95 deg, d 2.017, intensity 24

Structural model:
```
CsKHfSe3
1.0
3.957 -7.786 0.000
3.957 7.786 0.000
-1.457 0.000 7.095
Cs K Hf Se
2 2 2 6
direct
0.248 0.752 0.750
0.752 0.248 0.250
0.413 0.587 0.250
0.587 0.413 0.750
0.048 0.952 0.250
0.952 0.048 0.750
0.177 0.254 0.501
0.208 0.792 0.250
0.254 0.177 0.001
0.746 0.823 0.999
0.792 0.208 0.750
0.823 0.746 0.499
```

=====

Calculated XRD peak list
Compound: Ca3Ga3Hg2
Radiation: Cu Kα (λ = 1.5418 Å)
Structure: the GGA-PBE geometry in Alexandria
Lines closer than 0.1° are merged.

Main lines, in order of rising 2θ (10° ≤ 2θ ≤ 80°):
- 11.66 deg, d 7.590, intensity 29
- 15.82 deg, d 5.602, intensity 53
- 21.63 deg, d 4.108, intensity 54
- 23.69 deg, d 3.755, intensity 35
- 27.34 deg, d 3.262, intensity 42
- 31.37 deg, d 2.851, intensity 29
- 31.55 deg, d 2.836, intensity 49
- 35.65 deg, d 2.518, intensity 63
- 39.05 deg, d 2.306, intensity 100
- 47.00 deg, d 1.933, intensity 35

Structural model:
```
Ca3Ga3Hg2
1.0
2.307 -5.602 0.000
2.307 5.602 0.000
0.000 0.000 15.181
Ca Ga Hg
6 6 4
direct
0.089 0.911 0.609
0.089 0.911 0.891
0.364 0.636 0.750
0.636 0.364 0.250
0.911 0.089 0.109
0.911 0.089 0.391
0.354 0.646 0.250
0.395 0.605 0.537
0.395 0.605 0.963
0.605 0.395 0.037
0.605 0.395 0.463
0.646 0.354 0.750
0.204 0.796 0.101
0.204 0.796 0.399
0.796 0.204 0.601
0.796 0.204 0.899
```

=====

Calculated XRD peak list
Compound: AcSc4Ga3O12
Radiation: Cu Kα (λ = 1.5418 Å)
Structure: the GGA-PBE geometry in Alexandria
Lines closer than 0.1° are merged.

Main lines, in order of rising 2θ (10° ≤ 2θ ≤ 80°):
- 16.05 deg, d 5.524, intensity 32
- 22.77 deg, d 3.906, intensity 22
- 27.98 deg, d 3.189, intensity 14
- 32.42 deg, d 2.762, intensity 100
- 36.37 deg, d 2.470, intensity 18
- 39.98 deg, d 2.255, intensity 13
- 43.34 deg, d 2.088, intensity 20
- 46.50 deg, d 1.953, intensity 24
- 57.82 deg, d 1.595, intensity 50
- 77.24 deg, d 1.235, intensity 18

Structural model:
```
AcSc4Ga3O12
1.0
-3.906 3.906 3.906
3.906 -3.906 3.906
3.906 3.906 -3.906
Ac Sc Ga O
1 4 3 12
direct
0.000 0.000 0.000
0.000 0.000 0.500
0.000 0.500 0.000
0.500 0.000 0.000
0.500 0.500 0.500
0.000 0.500 0.500
0.500 0.000 0.500
0.500 0.500 0.000
0.148 0.315 0.833
0.167 0.482 0.315
0.167 0.852 0.685
0.315 0.167 0.482
0.315 0.833 0.148
0.482 0.315 0.167
0.518 0.685 0.833
0.685 0.167 0.852
0.685 0.833 0.518
0.833 0.148 0.315
0.833 0.518 0.685
0.852 0.685 0.167
```

=====

Calculated XRD peak list
Compound: Pm7Dy2Y
Radiation: Cu Kα (λ = 1.5418 Å)
Structure: the GGA-PBE geometry in Alexandria
Lines closer than 0.1° are merged.

Main lines, in order of rising 2θ (10° ≤ 2θ ≤ 80°):
- 15.82 deg, d 5.601, intensity 59
- 26.64 deg, d 3.346, intensity 23
- 29.53 deg, d 3.025, intensity 49
- 31.96 deg, d 2.801, intensity 50
- 32.86 deg, d 2.726, intensity 100
- 34.99 deg, d 2.565, intensity 52
- 44.06 deg, d 2.055, intensity 32
- 57.53 deg, d 1.602, intensity 20
- 61.45 deg, d 1.509, intensity 23
- 61.93 deg, d 1.498, intensity 22

Structural model:
```
Pm7Dy2Y
1.0
4.393 -8.345 0.000
4.393 8.345 0.000
0.000 0.000 5.601
Pm Dy Y
7 2 1
direct
0.000 0.000 0.000
0.209 0.434 0.000
0.286 0.714 0.500
0.434 0.209 0.000
0.566 0.791 0.000
0.714 0.286 0.500
0.791 0.566 0.000
0.205 0.795 0.000
0.795 0.205 0.000
0.500 0.500 0.500
```

=====

Calculated XRD peak list
Compound: RbNb2PS10
Radiation: Cu Kα (λ = 1.5418 Å)
Structure: the GGA-PBE geometry in Alexandria
Lines closer than 0.1° are merged.

Main lines, in order of rising 2θ (10° ≤ 2θ ≤ 80°):
- 10.95 deg, d 8.078, intensity 65
- 12.41 deg, d 7.131, intensity 82
- 13.12 deg, d 6.748, intensity 19
- 16.58 deg, d 5.346, intensity 100
- 22.01 deg, d 4.039, intensity 36
- 26.46 deg, d 3.368, intensity 16
- 31.02 deg, d 2.883, intensity 22
- 35.67 deg, d 2.517, intensity 24
- 37.45 deg, d 2.401, intensity 19
- 40.52 deg, d 2.226, intensity 20

Structural model:
```
RbNb2PS10
1.0
7.623 0.000 0.000
0.000 8.078 0.000
-4.634 0.000 12.276
Rb Nb P S
2 4 2 20
direct
0.000 0.004 0.000
0.000 0.996 0.500
0.532 0.443 0.018
0.532 0.557 0.518
0.534 0.444 0.729
0.534 0.556 0.229
0.394 0.120 0.843
0.394 0.880 0.343
0.203 0.059 0.300
0.203 0.941 0.800
0.278 0.384 0.099
0.278 0.616 0.599
0.281 0.380 0.544
0.281 0.620 0.044
0.287 0.363 0.823
0.287 0.637 0.323
0.550 0.122 0.008
0.550 0.878 0.508
0.565 0.126 0.752
0.565 0.874 0.252
0.594 0.345 0.386
0.594 0.655 0.886
0.777 0.458 0.924
0.777 0.542 0.424
0.782 0.380 0.652
0.782 0.620 0.152
0.784 0.379 0.196
0.784 0.621 0.696
```

=====

Calculated XRD peak list
Compound: Pu2Be2Pt3
Radiation: Cu Kα (λ = 1.5418 Å)
Structure: the GGA-PBE geometry in Alexandria
Lines closer than 0.1° are merged.

Main lines, in order of rising 2θ (10° ≤ 2θ ≤ 80°):
- 30.76 deg, d 2.907, intensity 19
- 32.86 deg, d 2.725, intensity 19
- 33.50 deg, d 2.675, intensity 84
- 36.20 deg, d 2.482, intensity 14
- 36.41 deg, d 2.468, intensity 100
- 39.24 deg, d 2.296, intensity 50
- 40.22 deg, d 2.242, intensity 14
- 40.94 deg, d 2.204, intensity 16
- 48.48 deg, d 1.878, intensity 25
- 66.22 deg, d 1.411, intensity 17

Structural model:
```
Pu2Be2Pt3
1.0
3.756 0.000 0.000
0.000 6.645 0.000
-1.856 0.000 9.529
Pu Be Pt
4 4 6
direct
0.007 0.250 0.006
0.156 0.750 0.308
0.844 0.250 0.692
0.993 0.750 0.994
0.282 0.538 0.565
0.282 0.962 0.565
0.718 0.038 0.435
0.718 0.462 0.435
0.204 0.250 0.408
0.402 0.537 0.809
0.402 0.963 0.809
0.598 0.037 0.191
0.598 0.463 0.191
0.796 0.750 0.592
```

=====

Calculated XRD peak list
Compound: Au3F8
Radiation: Cu Kα (λ = 1.5418 Å)
Structure: the GGA-PBE geometry in Alexandria
Lines closer than 0.1° are merged.

Main lines, in order of rising 2θ (10° ≤ 2θ ≤ 80°):
- 21.33 deg, d 4.166, intensity 77
- 22.68 deg, d 3.920, intensity 59
- 22.86 deg, d 3.890, intensity 48
- 23.68 deg, d 3.757, intensity 73
- 28.95 deg, d 3.084, intensity 100
- 29.28 deg, d 3.051, intensity 37
- 36.70 deg, d 2.449, intensity 38
- 42.20 deg, d 2.142, intensity 39
- 48.48 deg, d 1.878, intensity 40
- 53.08 deg, d 1.725, intensity 39

Structural model:
```
Au3F8
1.0
5.670 0.000 0.000
0.000 10.861 0.000
-5.436 0.000 5.889
Au F
6 16
direct
0.000 0.000 0.000
0.000 0.500 0.500
0.142 0.177 0.462
0.142 0.323 0.962
0.858 0.677 0.038
0.858 0.823 0.538
0.063 0.661 0.691
0.063 0.839 0.191
0.141 0.593 0.343
0.141 0.907 0.843
0.350 0.021 0.611
0.350 0.479 0.111
0.396 0.236 0.250
0.396 0.264 0.750
0.604 0.736 0.250
0.604 0.764 0.750
0.650 0.521 0.889
0.650 0.979 0.389
0.859 0.093 0.157
0.859 0.407 0.657
0.937 0.161 0.809
0.937 0.339 0.309
```